For SrMnP2Se8, a GGA-PBE-relaxed structure gives the calculated XRD peak list in this record (a wavelength of 1.5418 Å).

Principal peaks in the range 2θ = 10–90°, by angle:
two_theta, Rel. int.
19.22, 12
29.95, 37
30.40, 100
35.12, 79
50.21, 35
50.80, 34
60.10, 26
60.36, 12
63.25, 12
84.39, 12

Structure:
```
12
Lattice="6.2263 0.0000 0.0000 -3.1132 5.3922 0.0000 0.0000 0.0000 8.9497" Properties=species:S:1:pos:R:3 pbc="T T T"
Sr 0.0000 0.0000 0.0000
Mn 0.0000 0.0000 4.4749
P 0.0000 3.5948 6.5552
P 3.1132 1.7974 2.3945
Se -2.0877 3.7800 2.9115
Se 0.8834 1.6942 2.9115
Se 1.9089 0.0820 6.0383
Se 0.0000 3.5948 8.7336
Se 3.1132 1.7974 0.2161
Se 1.2043 5.3101 2.9115
Se 2.2298 3.6980 6.0383
Se 5.2008 1.6121 6.0383
```

***

For Zr3AlZn, a GGA-PBE-relaxed structure gives the calculated XRD peak list in this record (a wavelength of 1.5418 Å).

Principal peaks in the range 2θ = 10–90°, by angle:
two_theta, Rel. int.
27.02, 10
36.67, 100
37.90, 46
50.93, 9
54.68, 16
65.21, 16
67.65, 31
77.97, 10
81.01, 5
86.41, 7

Structure:
```
10
Lattice="2.3732 -8.9651 0.0000 2.3732 8.9651 0.0000 0.0000 0.0000 4.7490" Properties=species:S:1:pos:R:3 pbc="T T T"
Zr 2.3732 7.9642 3.5617
Zr 2.3732 4.4853 3.5617
Zr 2.3732 1.0088 3.5617
Zr 2.3732 -1.0088 1.1872
Zr 2.3732 -4.4853 1.1872
Zr 2.3732 -7.9642 1.1872
Al 2.3732 6.1980 1.1872
Al 2.3732 -6.1980 3.5617
Zn 2.3732 2.7314 1.1872
Zn 2.3732 -2.7314 3.5617
```

***

For Dy2AlPd4, a GGA-PBE-relaxed structure gives the calculated XRD peak list in this record (a wavelength of 1.5418 Å).

Principal peaks in the range 2θ = 10–90°, by angle:
two_theta, Rel. int.
23.50, 38
26.63, 54
33.79, 29
34.47, 80
37.06, 41
37.68, 28
39.53, 100
40.40, 52
55.75, 35
76.02, 28

Structure:
```
7
Lattice="0.0000 3.7862 7.1618 2.8556 0.0000 7.1618 2.8556 3.7862 0.0000" Properties=species:S:1:pos:R:3 pbc="T T T"
Dy 2.8556 3.7862 1.9067
Dy 2.8556 3.7862 12.4169
Al 2.8556 3.7862 7.1618
Pd 1.4278 1.8931 0.0000
Pd 2.8556 3.7862 4.7007
Pd 1.4278 1.8931 7.1618
Pd 2.8556 3.7862 9.6229
```

***

For Sr2HCl3, a GGA-PBE-relaxed structure gives the calculated XRD peak list in this record (a wavelength of 1.5418 Å).

Principal peaks in the range 2θ = 10–90°, by angle:
two_theta, Rel. int.
17.72, 82
23.46, 100
24.21, 50
26.06, 42
29.24, 52
32.77, 35
39.83, 39
40.08, 38
40.56, 53
43.93, 38

Structure:
```
12
Lattice="7.9553 -2.2635 0.0000 7.9553 2.2635 0.0000 -3.9920 0.0000 9.6491" Properties=species:S:1:pos:R:3 pbc="T T T"
Sr -0.0466 0.0000 4.1664
Sr 5.0248 0.0000 1.6948
Sr 6.8938 0.0000 7.9543
Sr 11.9652 0.0000 5.4828
H -1.5037 0.0000 6.2333
H 13.4223 0.0000 3.4159
Cl 2.5448 0.0000 0.0548
Cl 2.9984 0.0000 3.7982
Cl 4.0978 0.0000 7.2747
Cl 7.8208 0.0000 2.3744
Cl 8.9202 0.0000 5.8510
Cl 9.3737 0.0000 9.5943
```

***

Repeat the third record exactly.
For Dy2AlPd4, a GGA-PBE-relaxed structure gives the calculated XRD peak list in this record (a wavelength of 1.5418 Å).

Principal peaks in the range 2θ = 10–90°, by angle:
two_theta, Rel. int.
23.50, 38
26.63, 54
33.79, 29
34.47, 80
37.06, 41
37.68, 28
39.53, 100
40.40, 52
55.75, 35
76.02, 28

Structure:
```
7
Lattice="0.0000 3.7862 7.1618 2.8556 0.0000 7.1618 2.8556 3.7862 0.0000" Properties=species:S:1:pos:R:3 pbc="T T T"
Dy 2.8556 3.7862 1.9067
Dy 2.8556 3.7862 12.4169
Al 2.8556 3.7862 7.1618
Pd 1.4278 1.8931 0.0000
Pd 2.8556 3.7862 4.7007
Pd 1.4278 1.8931 7.1618
Pd 2.8556 3.7862 9.6229
```